Starting from the GGA+U geometry in the Materials Project, the powder diffractogram of CsTaCoO2F4 was calculated for Cu Ka.

Main lines, low angle first (10 to 90 degrees two-theta):
2θ 14.32, 6.184 Å, I 58, (0 1 0); 2θ 16.30, 5.437 Å, I 23, (0 0 1); 2θ 23.23, 3.829 Å, I 20, (1 -1 1); 2θ 23.64, 3.764 Å, I 52, (0 2 -1); 2θ 27.31, 3.265 Å, I 99, (0 1 1); 2θ 27.48, 3.246 Å, I 100, (2 -1 0); 2θ 28.07, 3.179 Å, I 89, (2 1 -1); 2θ 28.88, 3.092 Å, I 96, (0 2 -2); 2θ 43.92, 2.061 Å, I 42, (0 3 0); 2θ 47.49, 1.914 Å, I 34, (2 -2 2); 2θ 48.23, 1.887 Å, I 33, (2 2 -4); 2θ 48.43, 1.879 Å, I 34, (4 0 -2)

Crystal structure
abc: 7.5197 7.5216 7.5525
angles: 118.94 118.93 91.62
Sites, in units of the cell vectors:
Cs1 0.0000 0.0000 0.0000
Cs2 0.2532 0.7526 0.5056
Ta1 0.1384 0.3983 0.7633
Ta2 0.6255 0.3649 0.7634
Co1 0.6194 0.8709 0.2444
Co2 0.6253 0.3734 0.2445
O1 0.3103 0.6801 0.0041
O2 0.3181 0.3176 0.6356
O3 0.6948 0.3248 0.0049
O4 0.9103 0.4100 0.8200
F1 0.2771 0.2910 0.9768
F2 0.5376 0.0532 0.5025
F3 0.5432 0.4248 0.4853
F4 0.5600 0.0585 0.1170
F5 0.6932 0.6940 0.3882
F6 0.7001 0.6857 0.9767
F7 0.9426 0.0603 0.4859
F8 0.9654 0.4487 0.5023